[1]
Structure and simulated powder XRD pattern of CsNa2Tl5 (DFT lattice parameters and positions (GGA-PBE); Cu Kα).

Atomic structure:
Unit cell a=4.9359 b=8.8967 c=12.9283 alpha=90.00 beta=90.00 gamma=90.00
Space group Immm (No. 71)
One atom of each set of equivalent atoms:
Cs 0.0000 0.0000 0.0000 [2 per cell]
Na 0.0000 0.5000 0.2485 [4 per cell]
Tl 0.0000 0.1830 0.3745 [8 per cell]
Tl 0.0000 0.5000 0.0000 [2 per cell]

The 12 most intense peaks (2θ from 5° to 70°), sorted by position:
12.1 deg, d = 7.329 Å, intensity 60
13.7 deg, d = 6.464 Å, intensity 20
27.5 deg, d = 3.246 Å, intensity 84
27.9 deg, d = 3.201 Å, intensity 100
34.3 deg, d = 2.615 Å, intensity 49
34.7 deg, d = 2.587 Å, intensity 23
35.3 deg, d = 2.542 Å, intensity 42
36.4 deg, d = 2.468 Å, intensity 35
36.8 deg, d = 2.443 Å, intensity 18
39.3 deg, d = 2.290 Å, intensity 32
45.4 deg, d = 1.998 Å, intensity 22
50.9 deg, d = 1.795 Å, intensity 32

***

[2]
Structure and simulated powder XRD pattern of Ac2TlIrRh (DFT lattice parameters and positions (GGA-PBE); Cu Kα).

Atomic structure:
Unit cell a=9.3355 b=13.3074 c=4.5644 alpha=90.00 beta=90.00 gamma=90.00
Space group Cmcm (No. 63)
One atom of each set of equivalent atoms:
Ac 0.2159 0.1308 0.2500 [8 per cell]
Tl 0.0000 0.3756 0.2500 [4 per cell]
Ir 0.0000 0.0467 0.7500 [4 per cell]
Rh 0.0000 0.2388 0.7500 [4 per cell]

The 12 most intense peaks (2θ from 5° to 70°), sorted by position:
11.6 deg, d = 7.642 Å, intensity 11
26.8 deg, d = 3.327 Å, intensity 14
30.5 deg, d = 2.930 Å, intensity 100
33.1 deg, d = 2.709 Å, intensity 11
35.2 deg, d = 2.547 Å, intensity 13
38.6 deg, d = 2.334 Å, intensity 17
39.5 deg, d = 2.282 Å, intensity 21
40.4 deg, d = 2.232 Å, intensity 23
53.9 deg, d = 1.700 Å, intensity 8
56.4 deg, d = 1.632 Å, intensity 11
64.3 deg, d = 1.449 Å, intensity 13
66.1 deg, d = 1.414 Å, intensity 11